Structure and simulated powder X-ray diffraction pattern of PaBe2Co2O7 (a cell relaxed with GGA+U; Cu Kα X-rays).
Kinematic intensities with the Lorentz-polarization factor, no thermal factor.

Structural model:
```
data_PaBe2Co2O7
_space_group_name_H-M_alt 'R 3 2'
_space_group_IT_number 155
_space_group_name_Hall 'R 3 2"'
_cell_length_a 5.0252
_cell_length_b 5.0252
_cell_length_c 21.6417
_cell_angle_alpha 90.00
_cell_angle_beta 90.00
_cell_angle_gamma 120.00
loop_
_atom_site_label
_atom_site_type_symbol
_atom_site_fract_x
_atom_site_fract_y
_atom_site_fract_z
Pa1 Pa 0.0000 0.0000 0.0000
Be1 Be 0.0000 0.0000 0.4307
Co1 Co 0.0000 0.0000 0.2441
O1 O 0.0000 0.0000 0.5000
O2 O 0.0088 0.3132 0.6017
```

The 8 most intense peaks (5 to 70 degrees two-theta), sorted by position:
(0 0 3), 12.3 deg, rel. 76
(1 0 1), 20.8 deg, rel. 50
(1 0 4), 26.3 deg, rel. 100
(0 1 5), 29.1 deg, rel. 38
(1 1 0), 35.7 deg, rel. 42
(0 1 8), 39.2 deg, rel. 34
(0 2 4), 44.9 deg, rel. 27
(2 1 4), 58.7 deg, rel. 22